Theoretical powder diffraction line list of Ti2Be16B for λ = 1.5418 Å (Cu Kα), from DFT lattice parameters and positions (GGA-PBE).
Peak positions follow from Bragg's law for the DFT cell and can differ from measured ones.

Atomic structure:
Cell lengths 5.5037, 5.5037, 5.5037 Å; angles 82.73, 82.73, 82.73 degrees
Sites, in units of the cell vectors:
Ti (0.0000, 0.0000, 0.0000)
Ti (0.3349, 0.3349, 0.3349)
Be (0.0113, 0.0113, 0.5056)
Be (0.0113, 0.5056, 0.0113)
Be (0.1699, 0.6641, 0.6641)
Be (0.3229, 0.3229, 0.8249)
Be (0.3229, 0.8249, 0.3229)
Be (0.3686, 0.6669, 0.9639)
Be (0.3686, 0.9639, 0.6669)
Be (0.5056, 0.0113, 0.0113)
Be (0.6641, 0.1699, 0.6641)
Be (0.6641, 0.6641, 0.1699)
Be (0.6669, 0.3686, 0.9639)
Be (0.6669, 0.9639, 0.3686)
Be (0.7523, 0.7523, 0.7523)
Be (0.8249, 0.3229, 0.3229)
Be (0.9639, 0.3686, 0.6669)
Be (0.9639, 0.6669, 0.3686)
B (0.5616, 0.5616, 0.5616)

Most intense lines, 2θ = 15–90°, in order of falling intensity:
2theta, Rel. int.
35.3, 100
24.5, 82
50.5, 76
43.1, 47
50.2, 42
16.3, 34
21.8, 31
51.4, 30
25.0, 26
73.9, 22

***

Theoretical powder diffraction line list of TiBeB3 for λ = 1.5418 Å (Cu Kα), from DFT lattice parameters and positions (GGA-PBE).
Peak positions follow from Bragg's law for the DFT cell and can differ from measured ones.

Atomic structure:
Cell lengths 8.6983, 8.6983, 3.0147 Å; angles 90.00, 90.00, 159.07 degrees
Sites, in units of the cell vectors:
Ti (0.0773, 0.9227, 0.7500)
Ti (0.9227, 0.0773, 0.2500)
Be (0.2051, 0.7949, 0.2500)
Be (0.7949, 0.2051, 0.7500)
B (0.3196, 0.6804, 0.2500)
B (0.3703, 0.6297, 0.7500)
B (0.4744, 0.5256, 0.7500)
B (0.5256, 0.4744, 0.2500)
B (0.6297, 0.3703, 0.2500)
B (0.6804, 0.3196, 0.7500)

Most intense lines, 2θ = 15–90°, in order of falling intensity:
2theta, Rel. int.
44.5, 100
31.4, 56
47.0, 40
36.5, 36
28.7, 32
38.8, 28
49.6, 21
62.4, 21
20.8, 18
58.4, 15